Entry 1:
Structure and calculated powder diffraction line list of LiY4Al2Cd (a cell relaxed with GGA-PBE; copper Kα).

Cell and atoms:
abc: 8.994 8.994 8.994
angles: 33.51 33.51 33.51
Fractional positions:
Li 0.000 0.000 0.000
Y 0.124 0.124 0.124
Y 0.374 0.374 0.374
Y 0.626 0.626 0.626
Y 0.876 0.876 0.876
Al 0.252 0.252 0.252
Al 0.748 0.748 0.748
Cd 0.500 0.500 0.500

Main lines, sorted by position (5° ≤ 2θ ≤ 70°):
- 8.481 Å, 10.43°, intensity 10
- 4.423 Å, 20.08°, intensity 8
- 3.669 Å, 24.26°, intensity 16
- 3.367 Å, 26.47°, intensity 5
- 2.826 Å, 31.66°, intensity 4
- 2.594 Å, 34.58°, intensity 100
- 2.118 Å, 42.69°, intensity 5
- 1.834 Å, 49.70°, intensity 17
- 1.641 Å, 56.05°, intensity 6
- 1.498 Å, 61.96°, intensity 35

---

Entry 2:
Structure and calculated powder diffraction line list of Ni5P4 (a cell relaxed with GGA-PBE; copper Kα).

Cell and atoms:
abc: 6.789 6.789 10.994
angles: 90.00 90.00 120.00
Fractional positions:
Ni 0.000 0.000 0.038
Ni 0.000 0.000 0.538
Ni 0.074 0.537 0.148
Ni 0.081 0.540 0.858
Ni 0.207 0.414 0.500
Ni 0.207 0.793 0.500
Ni 0.414 0.207 0.000
Ni 0.460 0.540 0.858
Ni 0.460 0.919 0.858
Ni 0.463 0.537 0.148
Ni 0.463 0.926 0.148
Ni 0.537 0.074 0.648
Ni 0.537 0.463 0.648
Ni 0.540 0.081 0.358
Ni 0.540 0.460 0.358
Ni 0.586 0.793 0.500
Ni 0.793 0.207 0.000
Ni 0.793 0.586 0.000
Ni 0.919 0.460 0.358
Ni 0.926 0.463 0.648
P 0.000 0.000 0.237
P 0.000 0.000 0.737
P 0.179 0.358 0.295
P 0.179 0.821 0.295
P 0.182 0.364 0.006
P 0.182 0.818 0.006
P 0.333 0.667 0.679
P 0.358 0.179 0.795
P 0.364 0.182 0.506
P 0.636 0.818 0.006
P 0.642 0.821 0.295
P 0.667 0.333 0.179
P 0.818 0.182 0.506
P 0.818 0.636 0.506
P 0.821 0.179 0.795
P 0.821 0.642 0.795

Main lines, sorted by position (5° ≤ 2θ ≤ 70°):
- 3.110 Å, 28.70°, intensity 37
- 2.940 Å, 30.41°, intensity 47
- 2.840 Å, 31.50°, intensity 29
- 2.490 Å, 36.07°, intensity 48
- 2.060 Å, 43.95°, intensity 62
- 2.008 Å, 45.16°, intensity 77
- 1.929 Å, 47.10°, intensity 59
- 1.900 Å, 47.87°, intensity 66
- 1.728 Å, 52.99°, intensity 100
- 1.697 Å, 54.03°, intensity 52

---

Copy entry 2 word for word.
Structure and calculated powder diffraction line list of Ni5P4 (a cell relaxed with GGA-PBE; copper Kα).

Cell and atoms:
abc: 6.789 6.789 10.994
angles: 90.00 90.00 120.00
Fractional positions:
Ni 0.000 0.000 0.038
Ni 0.000 0.000 0.538
Ni 0.074 0.537 0.148
Ni 0.081 0.540 0.858
Ni 0.207 0.414 0.500
Ni 0.207 0.793 0.500
Ni 0.414 0.207 0.000
Ni 0.460 0.540 0.858
Ni 0.460 0.919 0.858
Ni 0.463 0.537 0.148
Ni 0.463 0.926 0.148
Ni 0.537 0.074 0.648
Ni 0.537 0.463 0.648
Ni 0.540 0.081 0.358
Ni 0.540 0.460 0.358
Ni 0.586 0.793 0.500
Ni 0.793 0.207 0.000
Ni 0.793 0.586 0.000
Ni 0.919 0.460 0.358
Ni 0.926 0.463 0.648
P 0.000 0.000 0.237
P 0.000 0.000 0.737
P 0.179 0.358 0.295
P 0.179 0.821 0.295
P 0.182 0.364 0.006
P 0.182 0.818 0.006
P 0.333 0.667 0.679
P 0.358 0.179 0.795
P 0.364 0.182 0.506
P 0.636 0.818 0.006
P 0.642 0.821 0.295
P 0.667 0.333 0.179
P 0.818 0.182 0.506
P 0.818 0.636 0.506
P 0.821 0.179 0.795
P 0.821 0.642 0.795

Main lines, sorted by position (5° ≤ 2θ ≤ 70°):
- 3.110 Å, 28.70°, intensity 37
- 2.940 Å, 30.41°, intensity 47
- 2.840 Å, 31.50°, intensity 29
- 2.490 Å, 36.07°, intensity 48
- 2.060 Å, 43.95°, intensity 62
- 2.008 Å, 45.16°, intensity 77
- 1.929 Å, 47.10°, intensity 59
- 1.900 Å, 47.87°, intensity 66
- 1.728 Å, 52.99°, intensity 100
- 1.697 Å, 54.03°, intensity 52